1.
Structure and computed powder diffraction line list of Na3Sr4Nd3Ti10O30 (a crystal structure in the Materials Project, relaxed with PBE; copper Kα).
Peak positions follow from Bragg's law for the DFT cell and can differ from measured ones.

The 10 most intense peaks (10° ≤ 2θ ≤ 90°), by intensity:
- d = 2.756 Å, I = 100
- d = 4.505 Å, I = 26
- d = 2.769 Å, I = 18
- d = 1.590 Å, I = 16
- d = 1.958 Å, I = 16
- d = 1.952 Å, I = 15
- d = 1.942 Å, I = 14
- d = 2.250 Å, I = 13
- d = 1.596 Å, I = 13
- d = 1.379 Å, I = 12

Crystal structure
abc: 5.513 5.517 19.894
angles: 82.08 82.12 89.53
Sites, in units of the cell vectors:
Na: 0.000 0.000 0.000
Na: 0.214 0.202 0.603
Na: 0.607 0.594 0.801
Sr: 0.309 0.300 0.401
Sr: 0.407 0.396 0.200
Sr: 0.809 0.802 0.401
Sr: 0.906 0.899 0.198
Nd: 0.121 0.109 0.798
Nd: 0.515 0.508 0.998
Nd: 0.720 0.712 0.601
Ti: 0.061 0.554 0.899
Ti: 0.164 0.657 0.701
Ti: 0.261 0.752 0.503
Ti: 0.357 0.847 0.300
Ti: 0.458 0.947 0.097
Ti: 0.558 0.056 0.899
Ti: 0.669 0.155 0.701
Ti: 0.761 0.255 0.503
Ti: 0.858 0.348 0.299
Ti: 0.957 0.451 0.096
O: 0.036 0.028 0.492
O: 0.088 0.081 0.309
O: 0.123 0.584 0.301
O: 0.143 0.548 0.801
O: 0.162 0.728 0.603
O: 0.191 0.724 0.098
O: 0.250 0.243 0.085
O: 0.267 0.257 0.914
O: 0.325 0.775 0.403
O: 0.349 0.759 0.901
O: 0.366 0.936 0.704
O: 0.387 0.924 0.199
O: 0.458 0.448 0.685
O: 0.476 0.468 0.516
O: 0.540 0.960 0.505
O: 0.550 0.956 0.999
O: 0.562 0.139 0.801
O: 0.590 0.115 0.302
O: 0.628 0.621 0.293
O: 0.679 0.671 0.109
O: 0.731 0.185 0.098
O: 0.736 0.152 0.603
O: 0.765 0.341 0.903
O: 0.783 0.319 0.403
O: 0.859 0.850 0.882
O: 0.866 0.856 0.715
O: 0.929 0.380 0.200
O: 0.949 0.354 0.703
O: 0.967 0.533 0.506
O: 0.967 0.542 0.999

2.
Structure and computed powder diffraction line list of NaNdTiO4 (a crystal structure in the Materials Project, relaxed with PBE; copper Kα).
Peak positions follow from Bragg's law for the DFT cell and can differ from measured ones.

The 10 most intense peaks (10° ≤ 2θ ≤ 90°), by intensity:
- d = 2.849 Å, I = 100
- d = 3.260 Å, I = 97
- d = 2.658 Å, I = 72
- d = 1.880 Å, I = 41
- d = 1.569 Å, I = 34
- d = 2.064 Å, I = 31
- d = 1.629 Å, I = 31
- d = 1.866 Å, I = 26
- d = 2.605 Å, I = 20
- d = 2.183 Å, I = 17

Crystal structure
abc: 3.759 3.759 13.099
angles: 90.00 90.00 90.00
Sites, in units of the cell vectors:
Na: 0.250 0.250 0.084
Na: 0.750 0.750 0.916
Nd: 0.250 0.250 0.392
Nd: 0.750 0.750 0.608
Ti: 0.250 0.250 0.771
Ti: 0.750 0.750 0.229
O: 0.250 0.250 0.569
O: 0.250 0.250 0.906
O: 0.250 0.750 0.266
O: 0.250 0.750 0.734
O: 0.750 0.250 0.266
O: 0.750 0.250 0.734
O: 0.750 0.750 0.094
O: 0.750 0.750 0.431

3.
Structure and computed powder diffraction line list of NaNdS2 (a crystal structure in the Materials Project, relaxed with PBE; copper Kα).
Peak positions follow from Bragg's law for the DFT cell and can differ from measured ones.

The 10 most intense peaks (10° ≤ 2θ ≤ 90°), by intensity:
- d = 5.157 Å, I = 100
- d = 2.859 Å, I = 83
- d = 2.065 Å, I = 62
- d = 2.985 Å, I = 46
- d = 3.348 Å, I = 46
- d = 2.500 Å, I = 32
- d = 1.674 Å, I = 31
- d = 2.022 Å, I = 30
- d = 3.267 Å, I = 23
- d = 1.175 Å, I = 19

Crystal structure
abc: 7.211 7.211 7.211
angles: 133.28 133.28 68.21
Sites, in units of the cell vectors:
Na: 0.375 0.625 0.750
Na: 0.625 0.375 0.250
Nd: 0.125 0.875 0.250
Nd: 0.875 0.125 0.750
S: 0.113 0.363 0.750
S: 0.363 0.113 0.250
S: 0.637 0.887 0.750
S: 0.887 0.637 0.250

4.
Structure and computed powder diffraction line list of NaNdS2 (a crystal structure in the Materials Project, relaxed with PBE; copper Kα).
Peak positions follow from Bragg's law for the DFT cell and can differ from measured ones.

The 10 most intense peaks (10° ≤ 2θ ≤ 90°), by intensity:
- d = 2.916 Å, I = 100
- d = 2.020 Å, I = 67
- d = 5.603 Å, I = 63
- d = 4.124 Å, I = 61
- d = 3.321 Å, I = 50
- d = 2.801 Å, I = 45
- d = 2.587 Å, I = 37
- d = 2.062 Å, I = 36
- d = 1.661 Å, I = 35
- d = 2.317 Å, I = 27

Crystal structure
abc: 4.124 4.124 5.603
angles: 90.00 90.00 90.00
Sites, in units of the cell vectors:
Na: 0.000 0.000 0.000
Nd: 0.500 0.500 0.500
S: 0.000 0.000 0.500
S: 0.500 0.500 0.000

5.
Structure and computed powder diffraction line list of NaNdS2 (a crystal structure in the Materials Project, relaxed with PBE; copper Kα).
Peak positions follow from Bragg's law for the DFT cell and can differ from measured ones.

The 10 most intense peaks (10° ≤ 2θ ≤ 90°), by intensity:
- d = 2.915 Å, I = 100
- d = 6.686 Å, I = 70
- d = 3.526 Å, I = 40
- d = 2.068 Å, I = 36
- d = 2.054 Å, I = 35
- d = 3.373 Å, I = 26
- d = 1.976 Å, I = 19
- d = 1.687 Å, I = 19
- d = 2.672 Å, I = 17
- d = 1.307 Å, I = 16

Crystal structure
abc: 7.100 7.100 7.100
angles: 33.87 33.87 33.87
Sites, in units of the cell vectors:
Na: 0.000 0.000 0.000
Nd: 0.500 0.500 0.500
S: 0.245 0.245 0.245
S: 0.755 0.755 0.755

6.
Structure and computed powder diffraction line list of NaNdSe2 (a crystal structure in the Materials Project, relaxed with PBE; copper Kα).
Peak positions follow from Bragg's law for the DFT cell and can differ from measured ones.

The 10 most intense peaks (10° ≤ 2θ ≤ 90°), by intensity:
- d = 3.036 Å, I = 100
- d = 7.056 Å, I = 41
- d = 2.140 Å, I = 37
- d = 2.154 Å, I = 37
- d = 1.749 Å, I = 20
- d = 3.651 Å, I = 20
- d = 1.354 Å, I = 17
- d = 1.361 Å, I = 16
- d = 1.238 Å, I = 12
- d = 1.518 Å, I = 12

Crystal structure
abc: 7.477 7.477 7.477
angles: 33.27 33.27 33.27
Sites, in units of the cell vectors:
Na: 0.000 0.000 0.000
Nd: 0.500 0.500 0.500
Se: 0.245 0.245 0.245
Se: 0.755 0.755 0.755

7.
Structure and computed powder diffraction line list of NaNdTl2 (a crystal structure in the Materials Project, relaxed with PBE; copper Kα).
Peak positions follow from Bragg's law for the DFT cell and can differ from measured ones.

The 10 most intense peaks (10° ≤ 2θ ≤ 90°), by intensity:
- d = 2.724 Å, I = 100
- d = 1.573 Å, I = 39
- d = 3.852 Å, I = 19
- d = 1.926 Å, I = 18
- d = 1.218 Å, I = 17
- d = 1.362 Å, I = 12
- d = 4.448 Å, I = 10
- d = 1.723 Å, I = 9
- d = 2.224 Å, I = 6
- d = 2.323 Å, I = 6

Crystal structure
abc: 5.448 5.448 5.448
angles: 60.00 60.00 60.00
Sites, in units of the cell vectors:
Na: 0.000 0.000 0.000
Nd: 0.500 0.500 0.500
Tl: 0.250 0.250 0.250
Tl: 0.750 0.750 0.750

8.
Structure and computed powder diffraction line list of Na3Ni (a crystal structure in the Materials Project, relaxed with PBE; copper Kα).
Peak positions follow from Bragg's law for the DFT cell and can differ from measured ones.

The 10 most intense peaks (10° ≤ 2θ ≤ 90°), by intensity:
- d = 2.576 Å, I = 100
- d = 1.487 Å, I = 32
- d = 4.206 Å, I = 21
- d = 1.821 Å, I = 17
- d = 1.152 Å, I = 12
- d = 3.643 Å, I = 11
- d = 2.197 Å, I = 11
- d = 1.288 Å, I = 9
- d = 1.671 Å, I = 4
- d = 1.629 Å, I = 4

Crystal structure
abc: 5.151 5.151 5.151
angles: 60.00 60.00 60.00
Sites, in units of the cell vectors:
Na: 0.000 0.000 0.000
Na: 0.250 0.250 0.250
Na: 0.750 0.750 0.750
Ni: 0.500 0.500 0.500

9.
Structure and computed powder diffraction line list of Na3Ni (a crystal structure in the Materials Project, relaxed with PBE; copper Kα).
Peak positions follow from Bragg's law for the DFT cell and can differ from measured ones.

The 10 most intense peaks (10° ≤ 2θ ≤ 90°), by intensity:
- d = 2.637 Å, I = 100
- d = 2.316 Å, I = 34
- d = 4.108 Å, I = 28
- d = 1.391 Å, I = 23
- d = 1.604 Å, I = 20
- d = 2.224 Å, I = 15
- d = 1.351 Å, I = 12
- d = 1.637 Å, I = 11
- d = 1.319 Å, I = 9
- d = 4.449 Å, I = 8

Crystal structure
abc: 5.524 5.524 5.524
angles: 130.44 130.44 72.71
Sites, in units of the cell vectors:
Na: 0.000 0.000 0.000
Na: 0.250 0.750 0.500
Na: 0.750 0.250 0.500
Ni: 0.500 0.500 0.000

10.
Structure and computed powder diffraction line list of NaTaNi (a crystal structure in the Materials Project, relaxed with PBE; copper Kα).
Peak positions follow from Bragg's law for the DFT cell and can differ from measured ones.

The 10 most intense peaks (10° ≤ 2θ ≤ 90°), by intensity:
- d = 3.524 Å, I = 100
- d = 2.158 Å, I = 85
- d = 1.840 Å, I = 49
- d = 1.246 Å, I = 28
- d = 1.400 Å, I = 20
- d = 1.175 Å, I = 15
- d = 1.526 Å, I = 14
- d = 3.052 Å, I = 12
- d = 1.365 Å, I = 5
- d = 1.762 Å, I = 4

Crystal structure
abc: 4.316 4.316 4.316
angles: 60.00 60.00 60.00
Sites, in units of the cell vectors:
Na: 0.000 0.000 0.000
Ta: 0.250 0.250 0.250
Ni: 0.500 0.500 0.500